Theoretical powder diffraction line list
Compound: Cs5SiP3
Radiation: Cu Kα X-rays
Structure: a PBE-relaxed structure
Intensities are scaled so that the largest is 100.

Structural model:
```
data_Cs5SiP3
_symmetry_space_group_name_H-M 'P n m a'
_symmetry_Int_Tables_number 62
_cell_length_a 14.3363
_cell_length_b 6.0639
_cell_length_c 15.7216
_cell_angle_alpha 90.00
_cell_angle_beta 90.00
_cell_angle_gamma 90.00
loop_
_symmetry_equiv_pos_as_xyz
'x,y,z'
'-x,-y,-z'
'-x+1/2,-y,z+1/2'
'x+1/2,y,-z+1/2'
'x+1/2,-y+1/2,-z+1/2'
'-x+1/2,y+1/2,z+1/2'
'-x,y+1/2,-z'
'x,-y+1/2,z'
loop_
_atom_site_label
_atom_site_fract_x
_atom_site_fract_y
_atom_site_fract_z
_atom_site_occupancy
Cs1 0.0473 0.2500 0.1516 1
Cs2 0.0623 0.2500 0.4512 1
Cs3 0.1172 0.2500 0.6880 1
Cs4 0.1461 0.7500 0.0503 1
Cs5 0.2241 0.7500 0.7948 1
Si1 0.2395 0.7500 0.4358 1
P1 0.1078 0.2500 0.9141 1
P2 0.1378 0.7500 0.3290 1
P3 0.1934 0.7500 0.5703 1
```

Principal peaks in the range 10° ≤ 2θ ≤ 80°, most intense first:
two_theta  I (rel.)
29.5  100
27.8  70
28.9  39
25.7  21
21.0  18
29.3  16
51.2  15
42.1  14
32.7  14
16.8  14